1.
Starting from a GGA-PBE-relaxed structure, the XRD peak list of Y3Mg2MoS8 was computed for Cu Kα, 1.54184 Å.
Lines closer than 0.1° are merged.

Structural model:
```
data_Y3Mg2MoS8
_cell_length_a 7.8383
_cell_length_b 7.8383
_cell_length_c 18.7414
_cell_angle_alpha 90.00
_cell_angle_beta 90.00
_cell_angle_gamma 120.00
_space_group_name_H-M_alt 'R -3 m'
_space_group_IT_number 166
_space_group_name_Hall '-R 3 2"'
loop_
_atom_site_label
_atom_site_type_symbol
_atom_site_fract_x
_atom_site_fract_y
_atom_site_fract_z
Y1 Y 0.0000 0.5000 0.0000
Mg1 Mg 0.0000 0.0000 0.1253
Mo1 Mo 0.0000 0.0000 0.5000
S1 S 0.0000 0.0000 0.2549
S2 S 0.0226 0.5113 0.2453
```

Principal peaks in the range 10 to 90 degrees two-theta, most intense first:
| 2θ/deg | Rel. int. |
| --- | --- |
| 32.58 | 100 |
| 13.88 | 74 |
| 46.33 | 48 |
| 26.85 | 45 |
| 47.14 | 45 |
| 27.18 | 25 |
| 26.69 | 23 |
| 42.71 | 22 |


2.
Starting from a GGA-PBE-relaxed structure, the XRD peak list of Mg6SbMo was computed for Cu Kα, 1.54184 Å.
Lines closer than 0.1° are merged.

Structural model:
```
data_Mg6SbMo
_cell_length_a 5.129
_cell_length_b 6.017
_cell_length_c 10.787
_cell_angle_alpha 90.00
_cell_angle_beta 90.00
_cell_angle_gamma 90.00
_space_group_name_H-M_alt 'A m m 2'
_space_group_IT_number 38
_space_group_name_Hall 'A 2 -2'
loop_
_atom_site_label
_atom_site_type_symbol
_atom_site_fract_x
_atom_site_fract_y
_atom_site_fract_z
Mg1 Mg 0.000 0.000 0.000
Mg2 Mg 0.000 0.000 0.489
Mg3 Mg 0.000 0.237 0.248
Mg4 Mg 0.500 0.248 0.581
Sb1 Sb 0.500 0.000 0.833
Mo1 Mo 0.500 0.000 0.331
```

Principal peaks in the range 10 to 90 degrees two-theta, most intense first:
| 2θ/deg | Rel. int. |
| --- | --- |
| 38.50 | 100 |
| 37.68 | 55 |
| 16.43 | 55 |
| 17.29 | 48 |
| 23.94 | 44 |
| 34.99 | 42 |
| 34.12 | 37 |
| 49.68 | 25 |